[1]
Theoretical X-ray diffraction stick pattern
Compound: LiMnC2O6
Radiation: Cu Kα, 1.54184 Å
Structure: a crystal structure in Alexandria, relaxed with GGA+U

Cell and atoms:
Lattice parameters (Å, degrees): 6.934 6.934 7.918 94.55 94.55 133.38
Element x y z (fractional)
Li  0.150  0.850  0.500
Li  0.850  0.150  0.000
Mn  0.473  0.746  0.317
Mn  0.746  0.473  0.817
C  0.011  0.650  0.107
C  0.449  0.581  0.022
C  0.581  0.449  0.522
C  0.650  0.011  0.607
O  0.081  0.783  0.980
O  0.157  0.756  0.257
O  0.236  0.440  0.093
O  0.397  0.780  0.563
O  0.440  0.236  0.593
O  0.469  0.500  0.884
O  0.500  0.469  0.384
O  0.652  0.830  0.113
O  0.756  0.157  0.757
O  0.780  0.397  0.063
O  0.783  0.081  0.480
O  0.830  0.652  0.613

Top 10 peaks for 15° ≤ 2θ ≤ 90°, in order of falling intensity:
two_theta, d/Å, Rel. int.
19.40, 4.576, 100
17.91, 4.953, 81
18.02, 4.922, 53
30.34, 2.946, 29
26.76, 3.332, 23
28.02, 3.184, 19
27.80, 3.210, 18
40.22, 2.242, 12
44.24, 2.047, 12
39.88, 2.260, 11



[2]
Theoretical X-ray diffraction stick pattern
Compound: LiMnPCO7
Radiation: Cu Kα, 1.54184 Å
Structure: a crystal structure in Alexandria, relaxed with GGA+U

Cell and atoms:
Lattice parameters (Å, degrees): 5.171 6.218 8.709 90.00 93.86 90.00
Element x y z (fractional)
Li  0.223  0.000  0.296
Li  0.777  0.500  0.704
Mn  0.212  0.716  0.841
Mn  0.788  0.216  0.159
P  0.274  0.212  0.931
P  0.726  0.712  0.069
C  0.275  0.726  0.569
C  0.725  0.226  0.431
O  0.046  0.714  0.628
O  0.138  0.203  0.084
O  0.183  0.407  0.830
O  0.203  0.020  0.825
O  0.310  0.759  0.432
O  0.429  0.723  0.029
O  0.463  0.706  0.680
O  0.537  0.206  0.320
O  0.571  0.223  0.971
O  0.690  0.259  0.568
O  0.797  0.520  0.175
O  0.817  0.907  0.170
O  0.862  0.703  0.916
O  0.954  0.214  0.372

Top 10 peaks for 15° ≤ 2θ ≤ 90°, in order of falling intensity:
two_theta, d/Å, Rel. int.
28.71, 3.109, 100
17.54, 5.057, 98
20.60, 4.311, 78
19.41, 4.573, 67
25.91, 3.439, 63
25.14, 3.543, 37
22.39, 3.971, 32
39.45, 2.284, 29
34.78, 2.580, 23
27.72, 3.218, 20



[3]
Theoretical X-ray diffraction stick pattern
Compound: LiMnPCO7
Radiation: Cu Kα, 1.54184 Å
Structure: a crystal structure in Alexandria, relaxed with GGA+U

Cell and atoms:
Lattice parameters (Å, degrees): 5.062 6.167 9.190 92.99 97.52 94.39
Element x y z (fractional)
Li  0.220  0.011  0.306
Li  0.780  0.989  0.694
Mn  0.191  0.739  0.847
Mn  0.809  0.261  0.153
P  0.261  0.258  0.933
P  0.739  0.742  0.067
C  0.233  0.788  0.590
C  0.767  0.212  0.410
O  0.005  0.736  0.642
O  0.115  0.048  0.849
O  0.140  0.317  0.074
O  0.231  0.436  0.820
O  0.255  0.819  0.461
O  0.435  0.804  0.700
O  0.438  0.776  0.026
O  0.562  0.224  0.974
O  0.565  0.196  0.300
O  0.745  0.181  0.539
O  0.769  0.564  0.180
O  0.860  0.683  0.926
O  0.885  0.952  0.151
O  0.995  0.264  0.358

Top 10 peaks for 15° ≤ 2θ ≤ 90°, in order of falling intensity:
two_theta, d/Å, Rel. int.
17.94, 4.945, 100
29.10, 3.069, 91
19.06, 4.656, 80
21.41, 4.151, 78
24.61, 3.617, 69
16.91, 5.242, 35
34.24, 2.619, 33
35.92, 2.500, 30
46.07, 1.970, 29
27.09, 3.291, 25



[4]
Theoretical X-ray diffraction stick pattern
Compound: Li6MnVP2C2O14
Radiation: Cu Kα, 1.54184 Å
Structure: a crystal structure in Alexandria, relaxed with GGA+U

Cell and atoms:
Lattice parameters (Å, degrees): 5.009 6.588 8.586 90.00 96.70 90.00
Element x y z (fractional)
Li  0.000  0.000  0.000
Li  0.075  0.271  0.622
Li  0.075  0.729  0.622
Li  0.532  0.227  0.169
Li  0.532  0.773  0.169
Li  0.608  0.500  0.792
Mn  0.586  0.000  0.559
V  0.013  0.500  0.224
P  0.068  0.000  0.303
P  0.541  0.500  0.487
C  0.139  0.500  0.936
C  0.467  0.000  0.858
O  0.207  0.500  0.795
O  0.227  0.500  0.467
O  0.283  0.000  0.737
O  0.321  0.500  0.058
O  0.383  0.000  0.320
O  0.398  0.000  0.000
O  0.639  0.500  0.324
O  0.650  0.316  0.591
O  0.650  0.684  0.591
O  0.716  0.000  0.833
O  0.890  0.500  0.963
O  0.958  0.183  0.201
O  0.958  0.817  0.201
O  0.978  0.000  0.469

Top 10 peaks for 15° ≤ 2θ ≤ 90°, in order of falling intensity:
two_theta, d/Å, Rel. int.
27.07, 3.294, 100
21.71, 4.094, 55
36.43, 2.466, 33
25.89, 3.442, 31
19.58, 4.533, 28
40.73, 2.215, 24
25.62, 3.477, 19
17.01, 5.213, 16
55.82, 1.647, 15
31.48, 2.842, 15